Structure and simulated powder diffraction line list of CdCuSi2 (the PBE geometry in Alexandria; copper Kα).
No peak broadening, texture or thermal motion is included.

Crystal structure
abc: 7.5401 3.2791 5.8799
angles: 90.00 104.70 90.00
Space group C2/m (No. 12)
One atom of each set of equivalent atoms:
1 Cd 0.0000 0.0000 0.0000 (multiplicity 2)
2 Cu 0.0000 0.5000 0.5000 (multiplicity 2)
3 Si 0.2399 0.0000 0.6707 (multiplicity 4)

Top 6 peaks for 10 to 80 degrees two-theta, most intense first:
| 2θ (°) | I_rel | (hkl) |
| --- | --- | --- |
| 35.33 | 100 | 1 1 1 |
| 45.95 | 49 | 3 1 -1 |
| 32.34 | 48 | 1 1 -1 |
| 34.73 | 47 | 2 0 -2 |
| 24.41 | 38 | 2 0 0 |
| 31.46 | 30 | 0 0 2 |


Structure and simulated powder diffraction line list of MgNi3Pt6 (the PBE geometry in Alexandria; copper Kα).
No peak broadening, texture or thermal motion is included.

Crystal structure
abc: 8.4554 3.9079 8.7119
angles: 90.00 92.10 90.00
Space group P2_1/m (No. 11)
One atom of each set of equivalent atoms:
1 Mg 0.0573 0.2500 0.3942 (multiplicity 2)
2 Ni 0.2540 0.2500 0.0055 (multiplicity 2)
3 Ni 0.3480 0.7500 0.8090 (multiplicity 2)
4 Ni 0.4482 0.2500 0.6052 (multiplicity 2)
5 Pt 0.0563 0.7500 0.9035 (multiplicity 2)
6 Pt 0.1558 0.7500 0.2043 (multiplicity 2)
7 Pt 0.1604 0.2500 0.7062 (multiplicity 2)
8 Pt 0.2642 0.7500 0.5107 (multiplicity 2)
9 Pt 0.3678 0.2500 0.3061 (multiplicity 2)
10 Pt 0.4582 0.7500 0.1006 (multiplicity 2)

Top 6 peaks for 10 to 80 degrees two-theta, most intense first:
| 2θ (°) | I_rel | (hkl) |
| --- | --- | --- |
| 40.49 | 100 | 1 1 3 |
| 46.21 | 18 | 2 0 -4 |
| 46.48 | 17 | 0 2 0 |
| 32.31 | 16 | 1 1 -2 |
| 23.74 | 15 | 2 0 1 |
| 48.59 | 14 | 4 0 2 |


Structure and simulated powder diffraction line list of Na2LiAlHg6 (the PBE geometry in Alexandria; copper Kα).
No peak broadening, texture or thermal motion is included.

Crystal structure
abc: 6.6381 6.9249 7.0188
angles: 67.60 67.15 64.59
Space group P-1 (No. 2)
One atom of each set of equivalent atoms:
1 Na 0.2007 0.1850 0.2208 (multiplicity 2)
2 Li 0.0000 0.0000 0.0000 (multiplicity 1)
3 Al 0.5000 0.5000 0.5000 (multiplicity 1)
4 Hg 0.1325 0.3448 0.6908 (multiplicity 2)
5 Hg 0.3254 0.8602 0.6574 (multiplicity 2)
6 Hg 0.3648 0.6797 0.1323 (multiplicity 2)

Top 6 peaks for 10 to 80 degrees two-theta, most intense first:
| 2θ (°) | I_rel | (hkl) |
| --- | --- | --- |
| 28.58 | 100 | 1 0 2 |
| 29.56 | 95 | 2 1 0 |
| 29.33 | 72 | 0 2 1 |
| 16.70 | 70 | 1 1 1 |
| 36.20 | 60 | 0 2 -1 |
| 41.14 | 36 | 2 3 1 |


Structure and simulated powder diffraction line list of TbZn2Ag6 (the PBE geometry in Alexandria; copper Kα).
No peak broadening, texture or thermal motion is included.

Crystal structure
abc: 10.0011 6.1838 5.6896
angles: 90.00 97.27 90.00
Space group C2/m (No. 12)
One atom of each set of equivalent atoms:
1 Tb 0.0000 0.0000 0.0000 (multiplicity 2)
2 Zn 0.0874 0.5000 0.8671 (multiplicity 4)
3 Ag 0.0000 0.2328 0.5000 (multiplicity 4)
4 Ag 0.2301 0.2744 0.2504 (multiplicity 8)

Top 6 peaks for 10 to 80 degrees two-theta, most intense first:
| 2θ (°) | I_rel | (hkl) |
| --- | --- | --- |
| 33.01 | 100 | 0 2 1 |
| 38.65 | 89 | 2 0 2 |
| 38.80 | 77 | 2 2 1 |
| 34.52 | 65 | 2 0 -2 |
| 36.22 | 58 | 4 0 0 |
| 34.17 | 50 | 2 2 0 |


Structure and simulated powder diffraction line list of Pm2HoCo6 (the PBE geometry in Alexandria; copper Kα).
No peak broadening, texture or thermal motion is included.

Crystal structure
abc: 6.7050 6.7050 4.1273
angles: 90.00 90.00 120.00
Space group P6/mmm (No. 191)
One atom of each set of equivalent atoms:
1 Pm 0.3333 0.6667 0.0000 (multiplicity 2)
2 Ho 0.0000 0.0000 0.0000 (multiplicity 1)
3 Co 0.0000 0.3315 0.5000 (multiplicity 6)

Top 6 peaks for 10 to 80 degrees two-theta, most intense first:
| 2θ (°) | I_rel | (hkl) |
| --- | --- | --- |
| 34.47 | 100 | 1 1 1 |
| 46.94 | 34 | 3 0 0 |
| 66.20 | 24 | 3 0 2 |
| 59.52 | 20 | 2 2 1 |
| 79.05 | 17 | 4 1 1 |
| 26.59 | 17 | 1 1 0 |


Structure and simulated powder diffraction line list of LiTb3Pa3S8 (the PBE geometry in Alexandria; copper Kα).
No peak broadening, texture or thermal motion is included.

Crystal structure
abc: 7.7283 7.7283 19.2750
angles: 90.00 90.00 120.00
Space group R-3m (No. 166, hexagonal axes)
One atom of each set of equivalent atoms:
1 Li 0.0000 0.0000 0.0000 (multiplicity 3)
2 Tb 0.0000 0.5000 0.5000 (multiplicity 9)
3 Pa 0.0000 0.5000 0.0000 (multiplicity 9)
4 S 0.0000 0.0000 0.2490 (multiplicity 6)
5 S 0.0051 0.5026 0.7480 (multiplicity 18)

Top 6 peaks for 10 to 80 degrees two-theta, most intense first:
| 2θ (°) | I_rel | (hkl) |
| --- | --- | --- |
| 32.58 | 100 | 0 2 4 |
| 28.23 | 55 | 2 0 2 |
| 16.12 | 38 | 0 1 2 |
| 46.44 | 37 | 2 0 8 |
| 47.03 | 36 | 2 2 0 |
| 27.77 | 19 | 0 0 6 |


Structure and simulated powder diffraction line list of SrPm2H7 (the PBE geometry in Alexandria; copper Kα).
No peak broadening, texture or thermal motion is included.

Crystal structure
abc: 3.9247 3.9247 16.2598
angles: 90.00 90.00 90.00
Space group I4/mmm (No. 139)
One atom of each set of equivalent atoms:
1 Sr 0.0000 0.0000 0.0000 (multiplicity 2)
2 Pm 0.0000 0.0000 0.3378 (multiplicity 4)
3 H 0.0000 0.0000 0.5000 (multiplicity 2)
4 H 0.0000 0.5000 0.0963 (multiplicity 8)
5 H 0.0000 0.5000 0.2500 (multiplicity 4)

Top 6 peaks for 10 to 80 degrees two-theta, most intense first:
| 2θ (°) | I_rel | (hkl) |
| --- | --- | --- |
| 28.07 | 100 | 1 0 3 |
| 32.26 | 34 | 1 1 0 |
| 54.99 | 31 | 2 1 3 |
| 46.86 | 25 | 1 1 6 |
| 33.06 | 16 | 0 0 6 |
| 56.04 | 14 | 1 0 9 |


Structure and simulated powder diffraction line list of K5Rb (the PBE geometry in Alexandria; copper Kα).
No peak broadening, texture or thermal motion is included.

Crystal structure
abc: 4.7487 4.7487 23.0394
angles: 90.00 90.00 120.00
Space group P-6m2 (No. 187)
One atom of each set of equivalent atoms:
1 K 0.0000 0.0000 0.0000 (multiplicity 1)
2 K 0.0000 0.0000 0.3274 (multiplicity 2)
3 K 0.3333 0.6667 0.1642 (multiplicity 2)
4 Rb 0.3333 0.6667 0.5000 (multiplicity 1)

Top 6 peaks for 10 to 80 degrees two-theta, most intense first:
| 2θ (°) | I_rel | (hkl) |
| --- | --- | --- |
| 24.55 | 100 | 1 0 3 |
| 23.16 | 25 | 0 0 6 |
| 21.61 | 24 | 1 0 0 |
| 44.88 | 23 | 1 1 6 |
| 41.55 | 22 | 1 0 9 |
| 37.89 | 20 | 1 1 0 |


Structure and simulated powder diffraction line list of TlSb2F11 (the PBE geometry in Alexandria; copper Kα).
No peak broadening, texture or thermal motion is included.

Crystal structure
abc: 9.6905 9.8559 11.3493
angles: 90.00 90.00 90.00
Space group Ibam (No. 72)
One atom of each set of equivalent atoms:
1 Tl 0.0000 0.0000 0.2500 (multiplicity 4)
2 Sb 0.1440 0.3444 0.0000 (multiplicity 8)
3 F 0.0000 0.5000 0.0000 (multiplicity 4)
4 F 0.0344 0.2605 0.1192 (multiplicity 16)
5 F 0.2273 0.2993 0.5000 (multiplicity 8)
6 F 0.2398 0.4432 0.1191 (multiplicity 16)

Top 6 peaks for 10 to 80 degrees two-theta, most intense first:
| 2θ (°) | I_rel | (hkl) |
| --- | --- | --- |
| 20.25 | 100 | 1 1 2 |
| 21.89 | 41 | 2 1 1 |
| 21.69 | 35 | 1 2 1 |
| 23.92 | 33 | 0 2 2 |
| 42.35 | 32 | 3 3 2 |
| 41.17 | 27 | 2 2 4 |